The following is a simulated powder X-ray diffraction pattern of TiMnSb. It was derived from a structure optimized by DFT (PBE), using Cu Kα (weighted mean of Kα1 and Kα2).

Atomic structure:
```
data_TiMnSb
_cell_length_a 4.5749
_cell_length_b 4.5749
_cell_length_c 5.6331
_cell_angle_alpha 90.00
_cell_angle_beta 90.00
_cell_angle_gamma 120.00
_space_group_name_H-M_alt 'P 63/m m c'
_space_group_IT_number 194
_space_group_name_Hall '-P 6c 2c'
loop_
_atom_site_label
_atom_site_type_symbol
_atom_site_fract_x
_atom_site_fract_y
_atom_site_fract_z
_atom_site_occupancy
Ti1 Ti 0.0000 0.0000 0.0000 1
Mn1 Mn 0.3333 0.6667 0.2500 1
Sb1 Sb 0.3333 0.6667 0.7500 1
```

Main lines, in order of falling intensity (5 to 70 degrees two-theta):
| d (Å) | Rel. int. | h k l |
| --- | --- | --- |
| 2.287 | 100 | 1 1 0 |
| 2.296 | 74 | 1 0 2 |
| 3.241 | 32 | 1 0 1 |
| 1.776 | 31 | 1 1 2 |
| 1.620 | 23 | 2 0 2 |
| 2.817 | 20 | 0 0 2 |
| 3.962 | 14 | 1 0 0 |
| 1.869 | 7 | 2 0 1 |
| 1.408 | 7 | 0 0 4 |
| 1.447 | 6 | 2 1 1 |